(1)
Starting from the PBE geometry in Alexandria, the powder XRD pattern of Na3Er3GaSe8 was computed for Cu Kα, 1.54184 Å.
Kinematic intensities with the Lorentz-polarization factor, no thermal factor.

```
Na3Er3GaSe8
1.0
6.9531 -4.0152 0.0000
6.9531 4.0152 0.0000
-4.6367 0.0000 7.1607
Na Er Ga Se
3 3 1 8
Cartesian
0.0000 0.0000 0.0000
3.4765 2.0076 0.0000
3.4765 -2.0076 0.0000
1.1582 2.0076 3.5803
1.1582 -2.0076 3.5803
4.6347 0.0000 3.5803
-2.3183 0.0000 3.5803
-0.1265 0.0000 5.1322
3.5409 2.1048 5.1385
5.7286 2.1048 2.0222
2.3097 0.0000 1.9437
6.9598 0.0000 5.2170
3.5409 -2.1048 5.1385
5.7286 -2.1048 2.0222
9.3960 0.0000 2.0285
```

Principal peaks in the range 10 to 90 degrees two-theta, by intensity:
| 2θ (°) | Rel. int. |
| --- | --- |
| 30.63 | 100 |
| 12.36 | 67 |
| 42.54 | 37 |
| 45.17 | 34 |
| 25.96 | 20 |
| 39.15 | 19 |
| 55.56 | 18 |
| 47.01 | 15 |
| 74.31 | 14 |
| 70.48 | 13 |

(2)
Starting from the PBE geometry in Alexandria, the powder XRD pattern of Er2Nb3Ga4 was computed for Cu Kα, 1.54184 Å.
Kinematic intensities with the Lorentz-polarization factor, no thermal factor.

```
Er2Nb3Ga4
1.0
7.3252 0.0000 0.0000
0.0000 7.1361 0.0000
-2.3703 0.0000 6.6844
Er Nb Ga
4 6 8
Cartesian
1.2449 1.1393 0.4318
0.0598 2.4288 3.7741
4.8951 4.7073 2.9104
3.7099 5.9968 6.2526
1.3226 4.9004 1.6574
0.1374 5.8037 4.9996
2.4774 0.0000 3.3422
3.6626 3.5680 0.0000
4.8174 1.3323 1.6848
3.6323 2.2357 5.0270
-1.4743 3.8547 5.7907
-0.2891 6.8494 2.4485
1.5009 0.9019 5.7840
2.6861 2.6662 2.4418
2.2687 4.4699 4.2426
3.4539 6.2342 0.9004
5.2439 0.2867 4.2360
6.4291 3.2814 0.8938
```

Principal peaks in the range 10 to 90 degrees two-theta, by intensity:
| 2θ (°) | Rel. int. |
| --- | --- |
| 35.44 | 100 |
| 35.82 | 96 |
| 40.18 | 72 |
| 40.24 | 63 |
| 33.08 | 56 |
| 36.21 | 47 |
| 39.43 | 44 |
| 32.93 | 43 |
| 35.33 | 41 |
| 57.74 | 32 |

(3)
Starting from the PBE geometry in Alexandria, the powder XRD pattern of Er2NbGa was computed for Cu Kα, 1.54184 Å.
Kinematic intensities with the Lorentz-polarization factor, no thermal factor.

```
Er2NbGa
1.0
1.6087 0.9288 10.6693
-1.6087 0.9288 10.6693
0.0000 -1.8575 10.6693
Er Nb Ga
2 1 1
Cartesian
0.0000 0.0000 2.9778
0.0000 0.0000 29.0301
0.0000 0.0000 0.0000
0.0000 0.0000 16.0039
```

Principal peaks in the range 10 to 90 degrees two-theta, by intensity:
| 2θ (°) | Rel. int. |
| --- | --- |
| 43.04 | 100 |
| 32.25 | 89 |
| 32.62 | 87 |
| 35.13 | 73 |
| 33.60 | 52 |
| 45.05 | 49 |
| 57.27 | 49 |
| 68.06 | 40 |
| 16.62 | 31 |
| 67.49 | 27 |

(4)
Starting from the PBE geometry in Alexandria, the powder XRD pattern of Nd5ErGa4 was computed for Cu Kα, 1.54184 Å.
Kinematic intensities with the Lorentz-polarization factor, no thermal factor.

```
Nd5ErGa4
1.0
8.7707 -1.8926 0.0000
8.7707 1.8926 0.0000
-0.5645 0.0000 8.9408
Nd Er Ga
5 1 4
Cartesian
0.0000 0.0000 0.0000
5.4337 0.0000 1.2870
5.7167 0.0000 6.2538
11.2603 0.0000 2.6869
11.5433 0.0000 7.6537
-0.2823 0.0000 4.4704
2.8079 0.0000 5.1359
8.2151 0.0000 2.2862
8.7618 0.0000 6.6546
14.1691 0.0000 3.8048
```

Principal peaks in the range 10 to 90 degrees two-theta, by intensity:
| 2θ (°) | Rel. int. |
| --- | --- |
| 31.17 | 100 |
| 30.64 | 38 |
| 28.10 | 32 |
| 41.32 | 30 |
| 47.08 | 24 |
| 22.90 | 21 |
| 41.04 | 20 |
| 27.61 | 20 |
| 36.83 | 16 |
| 65.01 | 16 |

(5)
Starting from the PBE geometry in Alexandria, the powder XRD pattern of Nd3ErGa2 was computed for Cu Kα, 1.54184 Å.
Kinematic intensities with the Lorentz-polarization factor, no thermal factor.

```
Nd3ErGa2
1.0
5.1332 0.0000 0.0000
0.0000 9.6882 0.0000
0.0000 0.0000 6.6447
Nd Er Ga
6 2 4
Cartesian
0.0000 0.4640 0.0000
0.0000 3.2494 2.2290
0.0000 6.4389 5.5514
0.0000 9.2242 3.3223
2.5666 1.7202 4.6759
2.5666 7.9681 1.3536
2.5666 4.3177 0.2505
2.5666 5.3705 3.5728
0.0000 3.4091 5.4350
0.0000 6.2791 2.1127
2.5666 1.4514 1.5111
2.5666 8.2368 4.8334
```

Principal peaks in the range 10 to 90 degrees two-theta, by intensity:
| 2θ (°) | Rel. int. |
| --- | --- |
| 32.74 | 100 |
| 33.43 | 76 |
| 34.96 | 46 |
| 28.68 | 33 |
| 32.09 | 28 |
| 59.35 | 20 |
| 48.61 | 20 |
| 61.73 | 19 |
| 30.78 | 18 |
| 38.89 | 13 |

(6)
Starting from the PBE geometry in Alexandria, the powder XRD pattern of Nd2ErGa3Pd4 was computed for Cu Kα, 1.54184 Å.
Kinematic intensities with the Lorentz-polarization factor, no thermal factor.

```
Nd2ErGa3Pd4
1.0
4.2863 0.0000 0.0000
0.0000 4.2863 0.0000
0.0000 0.0000 11.2997
Nd Er Ga Pd
2 1 3 4
Cartesian
0.0000 2.1432 2.5688
2.1432 0.0000 8.7310
0.0000 0.0000 5.6499
0.0000 2.1432 9.9235
2.1432 0.0000 1.3762
2.1432 2.1432 5.6499
0.0000 0.0000 0.0000
0.0000 2.1432 7.4054
2.1432 0.0000 3.8943
2.1432 2.1432 0.0000
```

Principal peaks in the range 10 to 90 degrees two-theta, by intensity:
| 2θ (°) | Rel. int. |
| --- | --- |
| 33.55 | 100 |
| 42.16 | 50 |
| 31.63 | 40 |
| 71.59 | 22 |
| 53.66 | 21 |
| 43.81 | 19 |
| 45.37 | 19 |
| 61.16 | 16 |
| 63.65 | 14 |
| 38.15 | 12 |